# 1
Calculated X-ray diffraction stick pattern of BaAl6Au12 for Cu Kα (weighted mean of Kα1 and Kα2), from a cell relaxed with GGA-PBE.
Neutral-atom scattering factors, no anomalous dispersion.

Most intense lines, 15° ≤ 2θ ≤ 90°, by angle:
d_spacing, I/Imax
4.142, 29
3.403, 16
2.732, 100
2.690, 47
2.293, 22
2.268, 45
1.880, 35
1.529, 16
1.457, 14
1.337, 15

Crystal structure
```
data_BaAl6Au12
_symmetry_space_group_name_H-M 'R -3 m'
_symmetry_Int_Tables_number 166
_symmetry_space_group_name_Hall '-R 3 2"'
_cell_length_a 11.9320
_cell_length_b 11.9320
_cell_length_c 9.0429
_cell_angle_alpha 90.00
_cell_angle_beta 90.00
_cell_angle_gamma 120.00
loop_
_atom_site_label
_atom_site_fract_x
_atom_site_fract_y
_atom_site_fract_z
Ba1 0.0000 0.0000 0.0000
Al1 0.0561 0.5280 0.2534
Au1 0.0000 0.3812 0.5000
Au2 0.0866 0.1732 0.3128
```

---

# 2
Calculated X-ray diffraction stick pattern of Pm10Pr4Tm for Cu Kα (weighted mean of Kα1 and Kα2), from a cell relaxed with GGA-PBE.
Neutral-atom scattering factors, no anomalous dispersion.

Most intense lines, 15° ≤ 2θ ≤ 90°, by angle:
d_spacing, I/Imax
3.337, 88
3.176, 91
3.158, 100
2.774, 76
2.714, 92
2.680, 39
2.233, 30
2.181, 33
2.058, 38
1.544, 34

Crystal structure
```
data_Pm10Pr4Tm
_symmetry_space_group_name_H-M 'I 4/m'
_symmetry_Int_Tables_number 87
_symmetry_space_group_name_Hall '-I 4'
_cell_length_a 9.9856
_cell_length_b 9.9856
_cell_length_c 10.6216
_cell_angle_alpha 90.00
_cell_angle_beta 90.00
_cell_angle_gamma 90.00
loop_
_atom_site_label
_atom_site_fract_x
_atom_site_fract_y
_atom_site_fract_z
Pm1 0.0000 0.5000 0.2500
Pm2 0.1148 0.2068 0.1619
Pr1 0.0593 0.3274 0.5000
Tm1 0.0000 0.0000 0.5000
```

---

# 3
Calculated X-ray diffraction stick pattern of SrCaTi2Ge2O10 for Cu Kα (weighted mean of Kα1 and Kα2), from a cell relaxed with GGA-PBE.
Neutral-atom scattering factors, no anomalous dispersion.

Most intense lines, 15° ≤ 2θ ≤ 90°, by angle:
d_spacing, I/Imax
3.362, 92
3.335, 22
3.117, 92
2.961, 26
2.719, 100
2.686, 58
2.320, 25
1.811, 22
1.712, 35
1.550, 25

Crystal structure
```
data_SrCaTi2Ge2O10
_symmetry_space_group_name_H-M 'P 1 21 1'
_symmetry_Int_Tables_number 4
_cell_length_a 6.8328
_cell_length_b 9.0627
_cell_length_c 7.3099
_cell_angle_alpha 90.00
_cell_angle_beta 114.16
_cell_angle_gamma 90.00
loop_
_symmetry_equiv_pos_as_xyz
'x,y,z'
'-x,y+1/2,-z'
loop_
_atom_site_label
_atom_site_fract_x
_atom_site_fract_y
_atom_site_fract_z
Sr1 0.2477 0.0000 0.0071
Ca1 0.2493 0.3482 0.5022
Ti1 0.2445 0.6750 0.7606
Ti2 0.2556 0.6690 0.2678
Ge1 0.2513 0.3573 0.0015
Ge2 0.2511 0.9895 0.5033
O1 0.0494 0.2379 0.8377
O2 0.0649 0.1150 0.3335
O3 0.1408 0.8799 0.6398
O4 0.1608 0.4622 0.1567
O5 0.2501 0.7291 0.9991
O6 0.2506 0.6058 0.4996
O7 0.3407 0.4633 0.8461
O8 0.3606 0.8781 0.3669
O9 0.4379 0.1171 0.6683
O10 0.4507 0.2367 0.1649
```

---

# 4
Calculated X-ray diffraction stick pattern of PrMg2Pb3 for Cu Kα (weighted mean of Kα1 and Kα2), from a cell relaxed with GGA-PBE.
Neutral-atom scattering factors, no anomalous dispersion.

Most intense lines, 15° ≤ 2θ ≤ 90°, by angle:
d_spacing, I/Imax
4.507, 22
3.503, 24
2.766, 100
2.483, 19
2.472, 18
2.253, 14
1.752, 13
1.482, 16
1.478, 15
1.381, 12

Crystal structure
```
data_PrMg2Pb3
_symmetry_space_group_name_H-M 'C m m m'
_symmetry_Int_Tables_number 65
_symmetry_space_group_name_Hall '-C 2 2'
_cell_length_a 4.9653
_cell_length_b 14.8311
_cell_length_c 4.5066
_cell_angle_alpha 90.00
_cell_angle_beta 90.00
_cell_angle_gamma 90.00
loop_
_atom_site_label
_atom_site_fract_x
_atom_site_fract_y
_atom_site_fract_z
Pr1 0.0000 0.0000 0.0000
Mg1 0.0000 0.3270 0.0000
Pb1 0.0000 0.1717 0.5000
Pb2 0.0000 0.5000 0.5000
```

---

# 5
Calculated X-ray diffraction stick pattern of NaPmHg for Cu Kα (weighted mean of Kα1 and Kα2), from a cell relaxed with GGA-PBE.
Neutral-atom scattering factors, no anomalous dispersion.

Most intense lines, 15° ≤ 2θ ≤ 90°, by angle:
d_spacing, I/Imax
4.676, 37
3.117, 53
2.927, 100
2.793, 36
2.756, 37
2.481, 40
2.374, 22
2.134, 63
2.065, 24
1.622, 22

Crystal structure
```
data_NaPmHg
_symmetry_space_group_name_H-M 'I m m m'
_symmetry_Int_Tables_number 71
_symmetry_space_group_name_Hall '-I 2 2'
_cell_length_a 3.4543
_cell_length_b 5.5123
_cell_length_c 18.7047
_cell_angle_alpha 90.00
_cell_angle_beta 90.00
_cell_angle_gamma 90.00
loop_
_atom_site_label
_atom_site_fract_x
_atom_site_fract_y
_atom_site_fract_z
Na1 0.0000 0.2493 0.0000
Pm1 0.0000 0.5000 0.3224
Hg1 0.0000 0.5000 0.1516
```

---

# 6
Calculated X-ray diffraction stick pattern of Pm3Co4Ge4 for Cu Kα (weighted mean of Kα1 and Kα2), from a cell relaxed with GGA-PBE.
Neutral-atom scattering factors, no anomalous dispersion.

Most intense lines, 15° ≤ 2θ ≤ 90°, by angle:
d_spacing, I/Imax
3.665, 15
2.992, 26
2.591, 100
2.318, 51
1.959, 23
1.728, 25
1.639, 22
1.496, 23
1.222, 16
1.105, 15

Crystal structure
```
data_Pm3Co4Ge4
_symmetry_space_group_name_H-M 'I -4 3 m'
_symmetry_Int_Tables_number 217
_symmetry_space_group_name_Hall 'I -4 2 3'
_cell_length_a 7.3294
_cell_length_b 7.3294
_cell_length_c 7.3294
_cell_angle_alpha 90.00
_cell_angle_beta 90.00
_cell_angle_gamma 90.00
loop_
_atom_site_label
_atom_site_fract_x
_atom_site_fract_y
_atom_site_fract_z
Pm1 0.0000 0.0000 0.5000
Co1 0.1253 0.1253 0.1253
Ge1 0.1932 0.1932 0.8068
```

---

# 7
Calculated X-ray diffraction stick pattern of Sm2Ho4Th3 for Cu Kα (weighted mean of Kα1 and Kα2), from a cell relaxed with GGA-PBE.
Neutral-atom scattering factors, no anomalous dispersion.

Most intense lines, 15° ≤ 2θ ≤ 90°, by angle:
d_spacing, I/Imax
3.086, 45
2.950, 49
2.798, 65
2.668, 100
2.132, 30
1.781, 37
1.616, 32
1.525, 41
1.482, 17
1.139, 15

Crystal structure
```
data_Sm2Ho4Th3
_symmetry_space_group_name_H-M 'P 3 m 1'
_symmetry_Int_Tables_number 156
_cell_length_a 3.5630
_cell_length_b 3.5630
_cell_length_c 26.5463
_cell_angle_alpha 90.00
_cell_angle_beta 90.00
_cell_angle_gamma 120.00
loop_
_symmetry_equiv_pos_as_xyz
'x,y,z'
'-y,x-y,z'
'-x+y,-x,z'
'-y,-x,z'
'-x+y,y,z'
'x,x-y,z'
loop_
_atom_site_label
_atom_site_fract_x
_atom_site_fract_y
_atom_site_fract_z
Sm1 0.0000 0.0000 0.0000
Sm2 0.0000 0.0000 0.2212
Ho1 0.0000 0.0000 0.3482
Ho2 0.0000 0.0000 0.5654
Ho3 0.3333 0.6667 0.6718
Ho4 0.3333 0.6667 0.8899
Th1 0.0000 0.0000 0.7812
Th2 0.3333 0.6667 0.1124
Th3 0.3333 0.6667 0.4543
```

---

# 8
Calculated X-ray diffraction stick pattern of Ag5I2Br4 for Cu Kα (weighted mean of Kα1 and Kα2), from a cell relaxed with GGA-PBE.
Neutral-atom scattering factors, no anomalous dispersion.

Most intense lines, 15° ≤ 2θ ≤ 90°, by angle:
d_spacing, I/Imax
4.143, 26
3.734, 27
3.370, 33
3.119, 93
2.946, 23
2.860, 52
2.160, 100
2.070, 61
1.495, 23
1.348, 24

Crystal structure
```
data_Ag5I2Br4
_symmetry_space_group_name_H-M 'R -3 m'
_symmetry_Int_Tables_number 166
_symmetry_space_group_name_Hall '-R 3 2"'
_cell_length_a 4.3193
_cell_length_b 4.3193
_cell_length_c 62.1429
_cell_angle_alpha 90.00
_cell_angle_beta 90.00
_cell_angle_gamma 120.00
loop_
_atom_site_label
_atom_site_fract_x
_atom_site_fract_y
_atom_site_fract_z
Ag1 0.0000 0.0000 0.0000
Ag2 0.0000 0.0000 0.1242
Ag3 0.0000 0.0000 0.2740
I1 0.0000 0.0000 0.3612
Br1 0.0000 0.0000 0.0795
Br2 0.0000 0.0000 0.1949
```

---

- Number 1 is which compound?
  BaAl6Au12